No. 1
Calculated powder diffractogram
Compound: Sr3MgMn2O7
Radiation: Cu Ka
Structure: the PBE+U geometry in the Materials Project
Neutral-atom scattering factors, no anomalous dispersion.

Structure:
Cell lengths 10.3212, 10.3212, 10.3212 Å; angles 158.69, 151.09, 36.20 degrees
Fractional positions:
Sr1 0.0000 0.0000 0.0000
Sr2 0.1784 0.1784 0.0000
Sr3 0.8216 0.8216 0.0000
Mg1 0.5000 0.0000 0.5000
Mn1 0.3908 0.3908 0.0000
Mn2 0.6092 0.6092 0.0000
O1 0.0918 0.5918 0.5000
O2 0.2983 0.2983 0.0000
O3 0.4026 0.9026 0.5000
O4 0.5000 0.5000 0.0000
O5 0.5974 0.0974 0.5000
O6 0.7017 0.7017 0.0000
O7 0.9082 0.4082 0.5000

Peak list (10 most intense, 2θ = 10–90°, in order of rising 2θ)
- d = 3.122 Å, 28.59 deg, rel. 62
- d = 3.067 Å, 29.11 deg, rel. 100
- d = 2.736 Å, 32.73 deg, rel. 62
- d = 2.576 Å, 34.82 deg, rel. 75
- d = 2.237 Å, 40.31 deg, rel. 43
- d = 1.909 Å, 47.65 deg, rel. 29
- d = 1.876 Å, 48.54 deg, rel. 41
- d = 1.628 Å, 56.51 deg, rel. 19
- d = 1.534 Å, 60.36 deg, rel. 26
- d = 1.369 Å, 68.57 deg, rel. 16

***

No. 2
Calculated powder diffractogram
Compound: Sr2MgZrMnO6
Radiation: Cu Ka
Structure: the PBE+U geometry in the Materials Project
Neutral-atom scattering factors, no anomalous dispersion.

Structure:
Cell lengths 6.4122, 6.4122, 6.4122 Å; angles 125.89, 125.74, 80.19 degrees
Fractional positions:
Sr1 0.1804 0.1804 0.0000
Sr2 0.8196 0.8196 0.0000
Mg1 0.5000 0.5000 0.0000
Zr1 0.0000 0.5000 0.5000
Mn1 0.5000 0.0000 0.5000
O1 0.2204 0.7204 0.5000
O2 0.2565 0.2521 0.5086
O3 0.2565 0.7479 0.0044
O4 0.7435 0.2521 0.9956
O5 0.7435 0.7479 0.4914
O6 0.7796 0.2796 0.5000

Peak list (10 most intense, 2θ = 10–90°, in order of rising 2θ)
- d = 5.023 Å, 17.66 deg, rel. 29
- d = 4.905 Å, 18.08 deg, rel. 20
- d = 3.159 Å, 28.25 deg, rel. 100
- d = 2.920 Å, 30.61 deg, rel. 98
- d = 2.853 Å, 31.35 deg, rel. 72
- d = 2.109 Å, 42.89 deg, rel. 24
- d = 2.065 Å, 43.84 deg, rel. 70
- d = 2.041 Å, 44.38 deg, rel. 53
- d = 1.451 Å, 64.17 deg, rel. 18
- d = 1.282 Å, 73.94 deg, rel. 19

***

No. 3
Calculated powder diffractogram
Compound: Sr2MgZrMnO6
Radiation: Cu Ka
Structure: the PBE+U geometry in the Materials Project
Neutral-atom scattering factors, no anomalous dispersion.

Structure:
Cell lengths 6.5505, 6.5505, 6.5505 Å; angles 53.88, 53.88, 53.88 degrees
Fractional positions:
Sr1 0.0000 0.0000 0.0000
Sr2 0.3964 0.3964 0.3964
Mg1 0.5790 0.5790 0.5790
Zr1 0.7404 0.7404 0.7404
Mn1 0.2080 0.2080 0.2080
O1 0.4407 0.9647 0.9647
O2 0.4738 0.4738 0.9600
O3 0.4738 0.9600 0.4738
O4 0.9600 0.4738 0.4738
O5 0.9647 0.4407 0.9647
O6 0.9647 0.9647 0.4407

Peak list (10 most intense, 2θ = 10–90°, in order of rising 2θ)
- d = 5.583 Å, 15.88 deg, rel. 38
- d = 2.968 Å, 30.11 deg, rel. 100
- d = 2.806 Å, 31.89 deg, rel. 48
- d = 2.620 Å, 34.22 deg, rel. 28
- d = 2.190 Å, 41.21 deg, rel. 24
- d = 2.039 Å, 44.43 deg, rel. 22
- d = 2.033 Å, 44.56 deg, rel. 28
- d = 1.713 Å, 53.48 deg, rel. 20
- d = 1.681 Å, 54.61 deg, rel. 21
- d = 1.484 Å, 62.60 deg, rel. 21

***

No. 4
Calculated powder diffractogram
Compound: Sr2MgZrMnO6
Radiation: Cu Ka
Structure: the PBE+U geometry in the Materials Project
Neutral-atom scattering factors, no anomalous dispersion.

Structure:
Cell lengths 6.4847, 6.4847, 6.4847 Å; angles 55.03, 55.03, 55.03 degrees
Fractional positions:
Sr1 0.0000 0.0000 0.0000
Sr2 0.4054 0.4054 0.4054
Mg1 0.6431 0.6431 0.6431
Zr1 0.2017 0.2017 0.2017
Mn1 0.8149 0.8149 0.8149
O1 0.4213 0.9535 0.9535
O2 0.4356 0.4356 0.9669
O3 0.4356 0.9669 0.4356
O4 0.9535 0.4213 0.9535
O5 0.9535 0.9535 0.4213
O6 0.9669 0.4356 0.4356

Peak list (10 most intense, 2θ = 10–90°, in order of rising 2θ)
- d = 4.949 Å, 17.92 deg, rel. 29
- d = 2.996 Å, 29.82 deg, rel. 100
- d = 2.779 Å, 32.21 deg, rel. 83
- d = 2.194 Å, 41.13 deg, rel. 16
- d = 2.037 Å, 44.47 deg, rel. 36
- d = 1.730 Å, 52.94 deg, rel. 20
- d = 1.685 Å, 54.46 deg, rel. 41
- d = 1.568 Å, 58.88 deg, rel. 13
- d = 1.498 Å, 61.95 deg, rel. 21
- d = 1.319 Å, 71.56 deg, rel. 16

***

No. 5
Calculated powder diffractogram
Compound: Mg4Mn5Te3O18
Radiation: Cu Ka
Structure: the PBE+U geometry in the Materials Project
Neutral-atom scattering factors, no anomalous dispersion.

Structure:
Cell lengths 8.8970, 8.8970, 10.7159 Å; angles 92.72, 92.72, 61.02 degrees
Fractional positions:
Mg1 0.1268 0.8213 0.9498
Mg2 0.1563 0.4339 0.0724
Mg3 0.1787 0.8732 0.5502
Mg4 0.4339 0.1563 0.5724
Mg5 0.5661 0.8437 0.4276
Mg6 0.8213 0.1268 0.4498
Mg7 0.8437 0.5661 0.9276
Mg8 0.8732 0.1787 0.0502
Mn1 0.0493 0.6236 0.4418
Mn2 0.2154 0.5032 0.7400
Mn3 0.3105 0.6895 0.2500
Mn4 0.3764 0.9507 0.0582
Mn5 0.4968 0.7846 0.7600
Mn6 0.5032 0.2154 0.2400
Mn7 0.6236 0.0493 0.9418
Mn8 0.6895 0.3105 0.7500
Mn9 0.7846 0.4968 0.2600
Mn10 0.9507 0.3764 0.5582
Te1 0.1599 0.1647 0.8057
Te2 0.1647 0.1599 0.3057
Te3 0.5000 0.5000 0.0000
Te4 0.5000 0.5000 0.5000
Te5 0.8353 0.8401 0.6943
Te6 0.8401 0.8353 0.1943
O1 0.0451 0.7496 0.7976
O2 0.0581 0.7422 0.2834
O3 0.0655 0.3851 0.3900
O4 0.0703 0.0855 0.4381
O5 0.0855 0.0703 0.9381
O6 0.0882 0.3852 0.8997
O7 0.2286 0.2696 0.6741
O8 0.2504 0.9549 0.7024
O9 0.2578 0.9419 0.2166
O10 0.2654 0.5824 0.0560
O11 0.2673 0.5975 0.5665
O12 0.2696 0.2286 0.1741
O13 0.3851 0.0655 0.8900
O14 0.3852 0.0882 0.3997
O15 0.4025 0.7327 0.9335
O16 0.4121 0.4507 0.3432
O17 0.4176 0.7346 0.4440
O18 0.4507 0.4121 0.8432
O19 0.5493 0.5879 0.1568
O20 0.5824 0.2654 0.5560
O21 0.5879 0.5493 0.6568
O22 0.5975 0.2673 0.0665
O23 0.6148 0.9118 0.6003
O24 0.6149 0.9345 0.1100
O25 0.7304 0.7714 0.8259
O26 0.7327 0.4025 0.4335
O27 0.7346 0.4176 0.9440
O28 0.7422 0.0581 0.7834
O29 0.7496 0.0451 0.2976
O30 0.7714 0.7304 0.3259
O31 0.9118 0.6148 0.1003
O32 0.9145 0.9297 0.0619
O33 0.9297 0.9145 0.5619
O34 0.9345 0.6149 0.6100
O35 0.9419 0.2578 0.7166
O36 0.9549 0.2504 0.2024

Peak list (10 most intense, 2θ = 10–90°, in order of rising 2θ)
- d = 4.467 Å, 19.88 deg, rel. 50
- d = 4.443 Å, 19.99 deg, rel. 100
- d = 4.276 Å, 20.77 deg, rel. 32
- d = 3.196 Å, 27.92 deg, rel. 41
- d = 3.105 Å, 28.75 deg, rel. 77
- d = 2.849 Å, 31.40 deg, rel. 21
- d = 2.609 Å, 34.37 deg, rel. 37
- d = 2.596 Å, 34.55 deg, rel. 77
- d = 1.966 Å, 46.17 deg, rel. 25
- d = 1.703 Å, 53.84 deg, rel. 54

***

No. 6
Calculated powder diffractogram
Compound: MgTiMn3O8
Radiation: Cu Ka
Structure: the PBE+U geometry in the Materials Project
Neutral-atom scattering factors, no anomalous dispersion.

Structure:
Cell lengths 5.9342, 5.9342, 6.2843 Å; angles 118.69, 118.69, 59.91 degrees
Fractional positions:
Mg1 0.0000 0.0000 0.0000
Ti1 0.5000 0.5000 0.0000
Mn1 0.0000 0.5000 0.0000
Mn2 0.5000 0.0000 0.0000
Mn3 0.5000 0.5000 0.5000
O1 0.2406 0.7114 0.1971
O2 0.2456 0.2456 0.1968
O3 0.2660 0.2660 0.8090
O4 0.2886 0.7594 0.8029
O5 0.7114 0.2406 0.1971
O6 0.7340 0.7340 0.1910
O7 0.7544 0.7544 0.8032
O8 0.7594 0.2886 0.8029

Peak list (10 most intense, 2θ = 10–90°, in order of rising 2θ)
- d = 5.232 Å, 16.95 deg, rel. 100
- d = 4.901 Å, 18.10 deg, rel. 31
- d = 4.873 Å, 18.21 deg, rel. 40
- d = 2.535 Å, 35.42 deg, rel. 18
- d = 2.436 Å, 36.89 deg, rel. 11
- d = 2.153 Å, 41.96 deg, rel. 71
- d = 2.140 Å, 42.23 deg, rel. 35
- d = 1.693 Å, 54.17 deg, rel. 11
- d = 1.555 Å, 59.44 deg, rel. 18
- d = 1.483 Å, 62.65 deg, rel. 28

***

No. 7
Calculated powder diffractogram
Compound: MgTi2Mn2O6
Radiation: Cu Ka
Structure: the PBE+U geometry in the Materials Project
Neutral-atom scattering factors, no anomalous dispersion.

Structure:
Cell lengths 5.8948, 5.8948, 5.8948 Å; angles 53.17, 53.17, 53.17 degrees
Fractional positions:
Mg1 0.0000 0.0000 0.0000
Ti1 0.1909 0.1909 0.1909
Ti2 0.5365 0.5365 0.5365
Mn1 0.3619 0.3619 0.3619
Mn2 0.7281 0.7281 0.7281
O1 0.1441 0.4059 0.7923
O2 0.2985 0.9355 0.5954
O3 0.4059 0.7923 0.1441
O4 0.5954 0.2985 0.9355
O5 0.7923 0.1441 0.4059
O6 0.9355 0.5954 0.2985

Peak list (10 most intense, 2θ = 10–90°, in order of rising 2θ)
- d = 4.374 Å, 20.30 deg, rel. 32
- d = 2.915 Å, 30.67 deg, rel. 8
- d = 2.638 Å, 33.98 deg, rel. 85
- d = 2.524 Å, 35.57 deg, rel. 56
- d = 2.338 Å, 38.51 deg, rel. 28
- d = 1.824 Å, 50.02 deg, rel. 100
- d = 1.523 Å, 60.82 deg, rel. 38
- d = 1.500 Å, 61.85 deg, rel. 19
- d = 1.318 Å, 71.57 deg, rel. 21
- d = 1.169 Å, 82.52 deg, rel. 21

***

No. 8
Calculated powder diffractogram
Compound: MgTiMn3O8
Radiation: Cu Ka
Structure: the PBE+U geometry in the Materials Project
Neutral-atom scattering factors, no anomalous dispersion.

Structure:
Cell lengths 6.0160, 6.0160, 6.1253 Å; angles 120.09, 120.09, 59.72 degrees
Fractional positions:
Mg1 0.0000 0.0000 0.0000
Ti1 0.0000 0.0000 0.5000
Mn1 0.0000 0.5000 0.5000
Mn2 0.5000 0.0000 0.5000
Mn3 0.5000 0.5000 0.5000
O1 0.2051 0.7503 0.7099
O2 0.2361 0.2361 0.6983
O3 0.2461 0.2461 0.2924
O4 0.2497 0.7949 0.2901
O5 0.7503 0.2051 0.7099
O6 0.7539 0.7539 0.7076
O7 0.7639 0.7639 0.3017
O8 0.7949 0.2497 0.2901

Peak list (10 most intense, 2θ = 10–90°, in order of rising 2θ)
- d = 4.998 Å, 17.74 deg, rel. 100
- d = 2.565 Å, 34.99 deg, rel. 11
- d = 2.562 Å, 35.02 deg, rel. 20
- d = 2.450 Å, 36.68 deg, rel. 8
- d = 2.141 Å, 42.20 deg, rel. 48
- d = 2.129 Å, 42.47 deg, rel. 23
- d = 1.658 Å, 55.43 deg, rel. 10
- d = 1.516 Å, 61.15 deg, rel. 12
- d = 1.504 Å, 61.68 deg, rel. 13
- d = 1.435 Å, 64.98 deg, rel. 9

***

No. 9
Calculated powder diffractogram
Compound: MgTi2Mn2O6
Radiation: Cu Ka
Structure: the PBE+U geometry in the Materials Project
Neutral-atom scattering factors, no anomalous dispersion.

Structure:
Cell lengths 5.2615, 5.2622, 5.9161 Å; angles 116.32, 90.03, 119.99 degrees
Fractional positions:
Mg1 0.0000 0.0000 0.0000
Ti1 0.1756 0.3522 0.5280
Ti2 0.8248 0.6484 0.4726
Mn1 0.3671 0.7339 0.1008
Mn2 0.6337 0.2676 0.9016
O1 0.0491 0.8409 0.2530
O2 0.2086 0.7966 0.7475
O3 0.4120 0.4605 0.2526
O4 0.5881 0.5390 0.7473
O5 0.7919 0.2039 0.2524
O6 0.9505 0.1592 0.7470

Peak list (10 most intense, 2θ = 10–90°, in order of rising 2θ)
- d = 3.911 Å, 22.73 deg, rel. 20
- d = 2.923 Å, 30.58 deg, rel. 45
- d = 2.631 Å, 34.08 deg, rel. 100
- d = 2.536 Å, 35.39 deg, rel. 19
- d = 2.533 Å, 35.44 deg, rel. 33
- d = 2.336 Å, 38.53 deg, rel. 28
- d = 1.827 Å, 49.90 deg, rel. 77
- d = 1.825 Å, 49.99 deg, rel. 18
- d = 1.519 Å, 61.00 deg, rel. 43
- d = 1.500 Å, 61.86 deg, rel. 18

***

No. 10
Calculated powder diffractogram
Compound: MgTi2MnO6
Radiation: Cu Ka
Structure: the PBE+U geometry in the Materials Project
Neutral-atom scattering factors, no anomalous dispersion.

Structure:
Cell lengths 5.5938, 5.5938, 5.5938 Å; angles 54.83, 54.83, 54.83 degrees
Fractional positions:
Mg1 0.0000 0.0000 0.0000
Ti1 0.4989 0.4989 0.4989
Ti2 0.7890 0.7890 0.7890
Mn1 0.2858 0.2858 0.2858
O1 0.0811 0.7012 0.4183
O2 0.2074 0.6086 0.8566
O3 0.4183 0.0811 0.7012
O4 0.6086 0.8566 0.2074
O5 0.7012 0.4183 0.0811
O6 0.8566 0.2074 0.6086

Peak list (10 most intense, 2θ = 10–90°, in order of rising 2θ)
- d = 3.778 Å, 23.55 deg, rel. 38
- d = 2.779 Å, 32.21 deg, rel. 100
- d = 2.576 Å, 34.83 deg, rel. 61
- d = 2.263 Å, 39.84 deg, rel. 32
- d = 1.889 Å, 48.17 deg, rel. 41
- d = 1.744 Å, 52.48 deg, rel. 52
- d = 1.651 Å, 55.69 deg, rel. 11
- d = 1.523 Å, 60.80 deg, rel. 34
- d = 1.487 Å, 62.45 deg, rel. 35
- d = 1.354 Å, 69.40 deg, rel. 12

***

No. 11
Calculated powder diffractogram
Compound: MgTi2Mn2O6
Radiation: Cu Ka
Structure: the PBE+U geometry in the Materials Project
Neutral-atom scattering factors, no anomalous dispersion.

Structure:
Cell lengths 5.2454, 5.2472, 5.9217 Å; angles 89.98, 63.73, 60.01 degrees
Fractional positions:
Mg1 0.0000 0.0000 0.0000
Ti1 0.3037 0.3484 0.0444
Ti2 0.3534 0.8239 0.4697
Mn1 0.6624 0.1700 0.5055
Mn2 0.7454 0.6276 0.8822
O1 0.1952 0.0649 0.2287
O2 0.2066 0.2004 0.7575
O3 0.4423 0.5941 0.7579
O4 0.5118 0.4243 0.2283
O5 0.8358 0.7401 0.2286
O6 0.8360 0.9643 0.7573

Peak list (10 most intense, 2θ = 10–90°, in order of rising 2θ)
- d = 3.905 Å, 22.77 deg, rel. 28
- d = 2.923 Å, 30.58 deg, rel. 41
- d = 2.623 Å, 34.18 deg, rel. 100
- d = 2.535 Å, 35.41 deg, rel. 38
- d = 2.332 Å, 38.61 deg, rel. 28
- d = 1.952 Å, 46.52 deg, rel. 18
- d = 1.827 Å, 49.92 deg, rel. 89
- d = 1.823 Å, 50.04 deg, rel. 19
- d = 1.515 Å, 61.19 deg, rel. 44
- d = 1.166 Å, 82.79 deg, rel. 17

***

No. 12
Calculated powder diffractogram
Compound: MgTiMn3O8
Radiation: Cu Ka
Structure: the PBE+U geometry in the Materials Project
Neutral-atom scattering factors, no anomalous dispersion.

Structure:
Cell lengths 5.9850, 5.9850, 5.7494 Å; angles 117.61, 117.61, 59.07 degrees
Fractional positions:
Mg1 0.0000 0.0000 0.0000
Ti1 0.5000 0.5000 0.5000
Mn1 0.0000 0.5000 0.5000
Mn2 0.5000 0.0000 0.5000
Mn3 0.5000 0.5000 0.0000
O1 0.2603 0.2603 0.2869
O2 0.2744 0.7247 0.2447
O3 0.2753 0.7256 0.7553
O4 0.2814 0.2814 0.7545
O5 0.7186 0.7186 0.2455
O6 0.7247 0.2744 0.2447
O7 0.7256 0.2753 0.7553
O8 0.7397 0.7397 0.7131

Peak list (10 most intense, 2θ = 10–90°, in order of rising 2θ)
- d = 4.903 Å, 18.09 deg, rel. 77
- d = 4.866 Å, 18.23 deg, rel. 27
- d = 4.765 Å, 18.62 deg, rel. 100
- d = 2.641 Å, 33.95 deg, rel. 17
- d = 2.523 Å, 35.59 deg, rel. 26
- d = 2.452 Å, 36.66 deg, rel. 17
- d = 2.203 Å, 40.96 deg, rel. 58
- d = 2.059 Å, 43.98 deg, rel. 93
- d = 1.517 Å, 61.10 deg, rel. 29
- d = 1.492 Å, 62.22 deg, rel. 26